Entry 1:
VTcGeO6: theoretical powder X-ray diffraction pattern (Cu Kα X-rays), based on the GGA+U geometry in Alexandria.
Intensities are scaled so that the largest is 100.

Most intense lines, 2θ = 5–70°, in order of rising 2θ:
two_theta  I_rel  hkl
21.78  11  1 0 1
27.65  100  1 1 0
35.51  66  1 0 3
39.50  16  2 0 0
40.80  9  1 1 3
54.15  64  2 1 3
57.09  17  2 2 0
64.59  12  3 1 0
68.26  15  1 1 6
69.07  21  3 0 3

Crystal structure
```
data_VTcGeO6
_chemical_formula_sum 'V2 Tc2 Ge2 O12'
_cell_length_a 4.563
_cell_length_b 4.563
_cell_length_c 9.110
_cell_angle_alpha 90.00
_cell_angle_beta 90.00
_cell_angle_gamma 90.00
_space_group_name_H-M_alt 'P 42 n m'
_space_group_IT_number 102
loop_
_space_group_symop_operation_xyz
'x,y,z'
'-y+1/2,x+1/2,z+1/2'
'-x,-y,z'
'y+1/2,-x+1/2,z+1/2'
'-x+1/2,y+1/2,z+1/2'
'y,x,z'
'x+1/2,-y+1/2,z+1/2'
'-y,-x,z'
loop_
_atom_site_label
_atom_site_fract_x
_atom_site_fract_y
_atom_site_fract_z
_atom_site_occupancy
V1 0.000 0.000 0.000 1
Tc1 0.000 0.000 0.335 1
Ge1 0.000 0.000 0.669 1
O1 0.189 0.189 0.832 1
O2 0.195 0.195 0.509 1
O3 0.200 0.200 0.167 1
```

=====

Entry 2:
Mn3V2Co3O16: theoretical powder X-ray diffraction pattern (Cu Kα X-rays), based on the GGA+U geometry in Alexandria.
Intensities are scaled so that the largest is 100.

Most intense lines, 2θ = 5–70°, in order of rising 2θ:
two_theta  I_rel  hkl
20.07  100  0 0 2
20.46  67  2 0 -1
20.65  64  2 0 1
36.28  20  4 0 0
37.62  40  4 0 -1
37.76  42  2 2 1
41.64  19  2 2 -2
47.75  25  2 2 -3
48.16  25  2 2 3
65.31  40  6 2 0

Crystal structure
```
data_Mn3V2Co3O16
_chemical_formula_sum 'Mn6 V4 Co6 O32'
_cell_length_a 9.896
_cell_length_b 5.724
_cell_length_c 8.848
_cell_angle_alpha 90.00
_cell_angle_beta 90.93
_cell_angle_gamma 90.00
_space_group_name_H-M_alt 'C 1 m 1'
_space_group_IT_number 8
loop_
_space_group_symop_operation_xyz
'x,y,z'
'x,-y,z'
'x+1/2,y+1/2,z'
'x+1/2,-y+1/2,z'
loop_
_atom_site_label
_atom_site_fract_x
_atom_site_fract_y
_atom_site_fract_z
_atom_site_occupancy
Mn1 0.000 0.000 0.000 1
Mn2 0.414 0.247 0.497 1
V1 0.002 0.500 0.211 1
V2 0.168 0.000 0.713 1
Co1 0.159 0.500 0.501 1
Co2 0.244 0.246 0.999 1
O1 0.000 0.000 0.619 1
O2 0.068 0.283 0.374 1
O3 0.090 0.220 0.875 1
O4 0.159 0.500 0.115 1
O5 0.169 0.000 0.107 1
O6 0.243 0.243 0.617 1
O7 0.306 0.000 0.877 1
O8 0.322 0.500 0.904 1
O9 0.327 0.500 0.396 1
O10 0.347 0.000 0.372 1
O11 0.416 0.242 0.116 1
O12 0.496 0.000 0.610 1
```